1.
Diffraction record for Ho5Os2O12. The powder diffractogram is computed, not measured: it uses a DFT-relaxed cell (PBE, Alexandria) and λ = 1.5418 Å (Cu Kα).
Neutral-atom scattering factors, no anomalous dispersion.

Atomic structure:
```
Ho5Os2O12
1.0
6.249 -2.821 0.000
6.249 2.821 0.000
-2.259 0.000 7.113
Ho Os O
5 2 12
Direct
0.000 0.000 0.000
0.301 0.301 0.142
0.312 0.312 0.672
0.688 0.688 0.328
0.699 0.699 0.858
0.219 0.781 0.500
0.781 0.219 0.500
0.001 0.001 0.296
0.087 0.580 0.414
0.099 0.596 0.927
0.404 0.901 0.073
0.420 0.913 0.586
0.499 0.499 0.325
0.501 0.501 0.675
0.580 0.087 0.414
0.596 0.099 0.927
0.901 0.404 0.073
0.913 0.420 0.586
0.999 0.999 0.704
```

Peak list (10 most intense, 2θ = 15–90°, by angle)
2θ = 27.47°, I = 96
2θ = 28.68°, I = 100
2θ = 32.87°, I = 38
2θ = 33.01°, I = 41
2θ = 34.19°, I = 24
2θ = 35.20°, I = 24
2θ = 40.81°, I = 28
2θ = 48.80°, I = 37
2θ = 56.31°, I = 24
2θ = 56.99°, I = 24


2.
Diffraction record for HoSnOsO6. The powder diffractogram is computed, not measured: it uses a DFT-relaxed cell (PBE, Alexandria) and λ = 1.5418 Å (Cu Kα).
Neutral-atom scattering factors, no anomalous dispersion.

Atomic structure:
```
HoSnOsO6
1.0
5.380 0.000 0.000
-2.690 4.659 0.000
0.000 0.000 9.008
Ho Sn Os O
2 2 2 12
Direct
0.333 0.667 0.250
0.667 0.333 0.750
0.000 0.000 0.000
0.000 0.000 0.500
0.333 0.667 0.750
0.667 0.333 0.250
0.035 0.352 0.626
0.035 0.684 0.874
0.316 0.352 0.874
0.316 0.965 0.626
0.352 0.035 0.126
0.352 0.316 0.374
0.648 0.684 0.626
0.648 0.965 0.874
0.684 0.035 0.374
0.684 0.648 0.126
0.965 0.316 0.126
0.965 0.648 0.374
```

Peak list (10 most intense, 2θ = 15–90°, by angle)
2θ = 19.71°, I = 22
2θ = 27.54°, I = 100
2θ = 33.31°, I = 62
2θ = 39.00°, I = 26
2θ = 43.75°, I = 29
2θ = 53.03°, I = 50
2θ = 56.07°, I = 28
2θ = 59.52°, I = 20
2θ = 74.16°, I = 12
2θ = 83.76°, I = 13


3.
Diffraction record for HoPO. The powder diffractogram is computed, not measured: it uses a DFT-relaxed cell (PBE, Alexandria) and λ = 1.5418 Å (Cu Kα).
Neutral-atom scattering factors, no anomalous dispersion.

Atomic structure:
```
HoPO
1.0
3.512 -4.248 0.000
3.512 4.248 0.000
0.000 0.000 7.307
Ho P O
4 4 4
Direct
0.180 0.320 0.250
0.320 0.180 0.750
0.680 0.820 0.250
0.820 0.680 0.750
0.145 0.855 0.427
0.355 0.645 0.927
0.645 0.355 0.073
0.855 0.145 0.573
0.153 0.847 0.906
0.347 0.653 0.406
0.653 0.347 0.594
0.847 0.153 0.094
```

Peak list (10 most intense, 2θ = 15–90°, by angle)
2θ = 20.91°, I = 22
2θ = 24.23°, I = 56
2θ = 24.36°, I = 35
2θ = 25.36°, I = 22
2θ = 32.32°, I = 23
2θ = 33.10°, I = 24
2θ = 35.41°, I = 100
2θ = 41.52°, I = 18
2θ = 44.41°, I = 20
2θ = 51.84°, I = 25


4.
Diffraction record for HoP2O2. The powder diffractogram is computed, not measured: it uses a DFT-relaxed cell (PBE, Alexandria) and λ = 1.5418 Å (Cu Kα).
Neutral-atom scattering factors, no anomalous dispersion.

Atomic structure:
```
HoP2O2
1.0
-4.470 4.470 8.081
4.470 -4.470 8.081
4.470 4.470 -8.081
Ho P O
4 8 8
Direct
0.000 0.000 0.000
0.000 0.000 0.500
0.000 0.500 0.000
0.500 0.000 0.500
0.076 0.171 0.905
0.171 0.076 0.405
0.171 0.766 0.095
0.234 0.829 0.405
0.766 0.171 0.595
0.829 0.234 0.905
0.829 0.924 0.595
0.924 0.829 0.095
0.131 0.198 0.567
0.131 0.564 0.933
0.198 0.131 0.067
0.436 0.869 0.567
0.564 0.131 0.433
0.802 0.869 0.933
0.869 0.436 0.067
0.869 0.802 0.433
```

Peak list (10 most intense, 2θ = 15–90°, by angle)
2θ = 22.73°, I = 100
2θ = 22.91°, I = 76
2θ = 28.23°, I = 70
2θ = 35.72°, I = 28
2θ = 36.08°, I = 29
2θ = 36.67°, I = 38
2θ = 39.04°, I = 59
2θ = 40.35°, I = 30
2θ = 45.36°, I = 24
2θ = 46.82°, I = 45


5.
Diffraction record for Ho2P4O13. The powder diffractogram is computed, not measured: it uses a DFT-relaxed cell (PBE, Alexandria) and λ = 1.5418 Å (Cu Kα).
Neutral-atom scattering factors, no anomalous dispersion.

Atomic structure:
```
Ho2P4O13
1.0
3.545 -8.739 0.000
3.545 8.739 0.000
0.000 0.000 8.635
Ho P O
4 8 26
Direct
0.104 0.396 0.147
0.396 0.104 0.853
0.604 0.896 0.353
0.896 0.604 0.647
0.081 0.401 0.500
0.222 0.349 0.774
0.349 0.222 0.226
0.401 0.081 0.500
0.599 0.919 0.000
0.651 0.778 0.726
0.778 0.651 0.274
0.919 0.599 0.000
0.015 0.474 0.604
0.079 0.764 0.882
0.097 0.327 0.899
0.118 0.289 0.607
0.236 0.921 0.618
0.242 0.284 0.204
0.272 0.570 0.401
0.284 0.242 0.796
0.289 0.118 0.393
0.327 0.097 0.101
0.412 0.588 0.750
0.430 0.728 0.099
0.474 0.015 0.396
0.526 0.985 0.896
0.570 0.272 0.599
0.588 0.412 0.250
0.673 0.903 0.601
0.711 0.882 0.893
0.716 0.758 0.296
0.728 0.430 0.901
0.758 0.716 0.704
0.764 0.079 0.118
0.882 0.711 0.107
0.903 0.673 0.399
0.921 0.236 0.382
0.985 0.526 0.104
```

Peak list (10 most intense, 2θ = 15–90°, by angle)
2θ = 20.32°, I = 89
2θ = 22.81°, I = 51
2θ = 24.67°, I = 94
2θ = 25.12°, I = 100
2θ = 32.49°, I = 44
2θ = 34.00°, I = 43
2θ = 35.38°, I = 32
2θ = 37.07°, I = 47
2θ = 43.98°, I = 34
2θ = 50.20°, I = 31


6.
Diffraction record for HoTl3P2O8. The powder diffractogram is computed, not measured: it uses a DFT-relaxed cell (PBE, Alexandria) and λ = 1.5418 Å (Cu Kα).
Neutral-atom scattering factors, no anomalous dispersion.

Atomic structure:
```
HoTl3P2O8
1.0
5.697 0.000 0.000
-2.849 4.934 0.000
0.000 0.000 8.346
Ho Tl P O
1 3 2 8
Direct
0.000 0.000 0.000
0.000 0.000 0.500
0.333 0.667 0.277
0.667 0.333 0.723
0.333 0.667 0.779
0.667 0.333 0.221
0.184 0.369 0.842
0.184 0.816 0.842
0.333 0.667 0.595
0.369 0.184 0.158
0.631 0.816 0.842
0.667 0.333 0.405
0.816 0.184 0.158
0.816 0.631 0.158
```

Peak list (10 most intense, 2θ = 15–90°, by angle)
2θ = 20.92°, I = 31
2θ = 28.00°, I = 100
2θ = 31.40°, I = 74
2θ = 37.10°, I = 14
2θ = 38.04°, I = 15
2θ = 42.57°, I = 33
2θ = 53.85°, I = 31
2θ = 54.51°, I = 24
2θ = 55.91°, I = 14
2θ = 72.72°, I = 14